Calculated XRD peak list of CaFe4P4O16 for a wavelength of 1.5418 Å, from DFT lattice parameters and positions (GGA+U).

a = 5.5084 Å, b = 8.6779 Å, c = 8.8863 Å
α = 92.16°, β = 93.25°, γ = 103.41°
Space group P1 (No. 1)
Unique sites:
Ca 0.0000 0.0000 0.0000 (multiplicity 1)
Fe 0.2928 0.6907 0.0196 (multiplicity 1)
Fe 0.3454 0.2289 0.4921 (multiplicity 1)
Fe 0.7061 0.7909 0.5204 (multiplicity 1)
Fe 0.7145 0.3145 0.0075 (multiplicity 1)
P 0.2023 0.3220 0.1621 (multiplicity 1)
P 0.2089 0.8479 0.3434 (multiplicity 1)
P 0.7569 0.6754 0.8510 (multiplicity 1)
P 0.8438 0.1722 0.6691 (multiplicity 1)
O 0.0390 0.7611 0.8650 (multiplicity 1)
O 0.1148 0.2540 0.6351 (multiplicity 1)
O 0.1803 0.4776 0.0931 (multiplicity 1)
O 0.1812 0.8509 0.1696 (multiplicity 1)
O 0.2689 0.0190 0.4133 (multiplicity 1)
O 0.3236 0.3551 0.3258 (multiplicity 1)
O 0.3541 0.2271 0.0665 (multiplicity 1)
O 0.4208 0.7648 0.3860 (multiplicity 1)
O 0.6253 0.7898 0.9414 (multiplicity 1)
O 0.6549 0.6576 0.6828 (multiplicity 1)
O 0.6628 0.2642 0.5963 (multiplicity 1)
O 0.6978 0.5132 0.9177 (multiplicity 1)
O 0.7834 0.9989 0.6035 (multiplicity 1)
O 0.8247 0.1690 0.8415 (multiplicity 1)
O 0.9310 0.2129 0.1574 (multiplicity 1)
O 0.9626 0.7532 0.4027 (multiplicity 1)

Main lines, low angle first (10 to 80 degrees two-theta):
2θ (°), Rel. int.
18.80, 100
20.02, 86
21.08, 94
23.18, 38
31.16, 80
33.72, 33